Record 1
Starting from a cell relaxed with PBE, the powder XRD pattern of Sm2Np2Pt15 was simulated for CuKα.
Kinematic intensities with the Lorentz-polarization factor, no thermal factor.

Largest 6 diffraction maxima, by angle, 10 to 80 degrees two-theta:
d_spacing  intensity
2.687  22
2.324  100
2.308  19
2.078  50
2.068  24
1.344  20

Structural model:
```
Sm2Np2Pt15
1.0
4.654 2.687 4.616
-4.654 2.687 4.616
0.000 -5.374 4.616
Sm Np Pt
2 2 15
Direct
0.145 0.145 0.145 Sm
0.855 0.855 0.855 Sm
0.417 0.417 0.417 Np
0.583 0.583 0.583 Np
0.000 0.500 0.500 Pt
0.159 0.159 0.662 Pt
0.159 0.662 0.159 Pt
0.179 0.500 0.821 Pt
0.179 0.821 0.500 Pt
0.338 0.841 0.841 Pt
0.500 0.000 0.500 Pt
0.500 0.179 0.821 Pt
0.500 0.500 0.000 Pt
0.500 0.821 0.179 Pt
0.662 0.159 0.159 Pt
0.821 0.179 0.500 Pt
0.821 0.500 0.179 Pt
0.841 0.338 0.841 Pt
0.841 0.841 0.338 Pt
```



Record 2
Starting from a cell relaxed with PBE, the powder XRD pattern of Np4Sn8Pt was simulated for CuKα.
Kinematic intensities with the Lorentz-polarization factor, no thermal factor.

Largest 6 diffraction maxima, by angle, 10 to 80 degrees two-theta:
d_spacing  intensity
2.753  14
2.744  100
2.279  23
2.199  21
1.583  15
1.390  14

Structural model:
```
Np4Sn8Pt
1.0
4.399 0.000 0.000
0.000 4.559 0.000
0.000 0.000 16.518
Np Sn Pt
4 8 1
Direct
0.000 0.000 0.000 Np
0.000 0.500 0.474 Np
0.500 0.000 0.792 Np
0.500 0.500 0.300 Np
0.000 0.000 0.319 Sn
0.000 0.000 0.617 Sn
0.000 0.500 0.149 Sn
0.000 0.500 0.861 Sn
0.500 0.000 0.152 Sn
0.500 0.000 0.448 Sn
0.500 0.500 0.614 Sn
0.500 0.500 0.981 Sn
0.000 0.500 0.705 Pt
```



Record 3
Starting from a cell relaxed with PBE, the powder XRD pattern of TmNpPt6 was simulated for CuKα.
Kinematic intensities with the Lorentz-polarization factor, no thermal factor.

Largest 5 diffraction maxima, by angle, 10 to 80 degrees two-theta:
d_spacing  intensity
8.245  1
2.380  100
2.061  50
1.457  33
1.243  39

Structural model:
```
TmNpPt6
1.0
4.121 0.000 0.000
0.000 4.121 0.000
0.000 0.000 8.245
Tm Np Pt
1 1 6
Direct
0.000 0.000 0.000 Tm
0.000 0.000 0.500 Np
0.000 0.500 0.251 Pt
0.000 0.500 0.749 Pt
0.500 0.000 0.251 Pt
0.500 0.000 0.749 Pt
0.500 0.500 0.000 Pt
0.500 0.500 0.500 Pt
```



Record 4
Starting from a cell relaxed with PBE, the powder XRD pattern of YNpPt was simulated for CuKα.
Kinematic intensities with the Lorentz-polarization factor, no thermal factor.

Largest 6 diffraction maxima, by angle, 10 to 80 degrees two-theta:
d_spacing  intensity
4.395  100
2.783  49
2.405  73
2.260  34
2.191  41
1.902  37

Structural model:
```
YNpPt
1.0
4.395 -3.595 0.000
4.395 3.595 0.000
0.000 0.000 10.666
Y Np Pt
4 4 4
Direct
0.204 0.204 0.000 Y
0.296 0.296 0.500 Y
0.704 0.704 0.500 Y
0.796 0.796 0.000 Y
0.154 0.846 0.714 Np
0.346 0.654 0.214 Np
0.654 0.346 0.786 Np
0.846 0.154 0.286 Np
0.192 0.808 0.451 Pt
0.308 0.692 0.951 Pt
0.692 0.308 0.049 Pt
0.808 0.192 0.549 Pt
```



Record 5
Starting from a cell relaxed with PBE, the powder XRD pattern of Rb3Pu2NpSe6 was simulated for CuKα.
Kinematic intensities with the Lorentz-polarization factor, no thermal factor.

Largest 6 diffraction maxima, by angle, 10 to 80 degrees two-theta:
d_spacing  intensity
7.959  51
3.164  100
2.518  17
2.331  35
2.154  37
1.781  19

Structural model:
```
Rb3Pu2NpSe6
1.0
3.731 -6.463 0.000
3.731 6.463 0.000
-2.488 0.000 7.959
Rb Pu Np Se
3 2 1 6
Direct
0.000 0.000 0.000 Rb
0.332 0.668 0.000 Rb
0.668 0.332 0.000 Rb
0.167 0.833 0.500 Pu
0.833 0.167 0.500 Pu
0.500 0.500 0.500 Np
0.106 0.435 0.305 Se
0.235 0.235 0.695 Se
0.435 0.106 0.305 Se
0.565 0.894 0.695 Se
0.765 0.765 0.305 Se
0.894 0.565 0.695 Se
```



Record 6
Starting from a cell relaxed with PBE, the powder XRD pattern of Pu2Np2Rh15 was simulated for CuKα.
Kinematic intensities with the Lorentz-polarization factor, no thermal factor.

Largest 6 diffraction maxima, by angle, 10 to 80 degrees two-theta:
d_spacing  intensity
2.612  37
2.553  18
2.260  100
2.223  19
2.020  16
1.306  17

Structural model:
```
Pu2Np2Rh15
1.0
4.525 2.612 4.490
-4.525 2.612 4.490
0.000 -5.225 4.490
Pu Np Rh
2 2 15
Direct
0.147 0.147 0.147 Pu
0.853 0.853 0.853 Pu
0.414 0.414 0.414 Np
0.586 0.586 0.586 Np
0.000 0.500 0.500 Rh
0.159 0.159 0.662 Rh
0.159 0.662 0.159 Rh
0.182 0.500 0.818 Rh
0.182 0.818 0.500 Rh
0.338 0.841 0.841 Rh
0.500 0.000 0.500 Rh
0.500 0.182 0.818 Rh
0.500 0.500 0.000 Rh
0.500 0.818 0.182 Rh
0.662 0.159 0.159 Rh
0.818 0.182 0.500 Rh
0.818 0.500 0.182 Rh
0.841 0.338 0.841 Rh
0.841 0.841 0.338 Rh
```



Record 7
Starting from a cell relaxed with PBE, the powder XRD pattern of PuNpRh4 was simulated for CuKα.
Kinematic intensities with the Lorentz-polarization factor, no thermal factor.

Largest 6 diffraction maxima, by angle, 10 to 80 degrees two-theta:
d_spacing  intensity
2.659  58
2.267  100
2.171  18
1.535  23
1.447  33
1.329  25

Structural model:
```
PuNpRh4
1.0
0.000 3.760 3.760
3.760 0.000 3.760
3.760 3.760 0.000
Pu Np Rh
1 1 4
Direct
0.000 0.000 0.000 Pu
0.250 0.250 0.250 Np
0.125 0.625 0.625 Rh
0.625 0.125 0.625 Rh
0.625 0.625 0.125 Rh
0.625 0.625 0.625 Rh
```



Record 8
Starting from a cell relaxed with PBE, the powder XRD pattern of Pu2NpRu4 was simulated for CuKα.
Kinematic intensities with the Lorentz-polarization factor, no thermal factor.

Largest 6 diffraction maxima, by angle, 10 to 80 degrees two-theta:
d_spacing  intensity
3.394  75
3.293  55
2.400  100
2.364  39
1.697  31
1.647  30

Structural model:
```
Pu2NpRu4
1.0
4.799 0.000 0.000
0.000 4.799 0.000
0.000 0.000 13.583
Pu Np Ru
4 2 8
Direct
0.000 0.000 0.139 Pu
0.000 0.000 0.861 Pu
0.500 0.500 0.361 Pu
0.500 0.500 0.639 Pu
0.000 0.000 0.500 Np
0.500 0.500 0.000 Np
0.000 0.000 0.316 Ru
0.000 0.000 0.684 Ru
0.000 0.500 0.000 Ru
0.000 0.500 0.500 Ru
0.500 0.000 0.000 Ru
0.500 0.000 0.500 Ru
0.500 0.500 0.184 Ru
0.500 0.500 0.816 Ru
```



Record 9
Starting from a cell relaxed with PBE, the powder XRD pattern of Pu2NpRu3 was simulated for CuKα.
Kinematic intensities with the Lorentz-polarization factor, no thermal factor.

Largest 6 diffraction maxima, by angle, 10 to 80 degrees two-theta:
d_spacing  intensity
3.447  29
2.450  38
2.424  32
2.367  100
2.360  33
1.398  19

Structural model:
```
Pu2NpRu3
1.0
3.251 0.000 0.000
0.004 4.900 0.000
0.030 2.437 7.273
Pu Np Ru
2 1 3
Direct
0.001 0.172 0.153 Pu
0.999 0.828 0.847 Pu
0.000 0.500 0.500 Np
0.499 0.643 0.212 Ru
0.500 0.000 0.500 Ru
0.501 0.357 0.788 Ru
```



Record 10
Starting from a cell relaxed with PBE, the powder XRD pattern of PuNp3S6 was simulated for CuKα.
Kinematic intensities with the Lorentz-polarization factor, no thermal factor.

Largest 6 diffraction maxima, by angle, 10 to 80 degrees two-theta:
d_spacing  intensity
3.756  85
3.605  100
3.265  60
3.222  66
2.884  61
2.102  57

Structural model:
```
PuNp3S6
1.0
10.816 0.000 0.000
0.000 3.977 0.000
-3.391 0.000 10.761
Pu Np S
2 6 12
Direct
0.049 0.250 0.191 Pu
0.951 0.750 0.809 Pu
0.159 0.250 0.583 Np
0.314 0.750 0.999 Np
0.435 0.250 0.332 Np
0.565 0.750 0.668 Np
0.686 0.250 0.001 Np
0.841 0.750 0.417 Np
0.086 0.750 0.405 S
0.118 0.250 0.959 S
0.194 0.750 0.748 S
0.261 0.750 0.227 S
0.400 0.250 0.561 S
0.481 0.250 0.112 S
0.519 0.750 0.888 S
0.600 0.750 0.439 S
0.739 0.250 0.773 S
0.806 0.250 0.252 S
0.882 0.750 0.041 S
0.914 0.250 0.595 S
```



Record 11
Starting from a cell relaxed with PBE, the powder XRD pattern of PuNp4S6 was simulated for CuKα.
Kinematic intensities with the Lorentz-polarization factor, no thermal factor.

Largest 6 diffraction maxima, by angle, 10 to 80 degrees two-theta:
d_spacing  intensity
3.473  65
3.210  100
2.742  46
2.619  30
2.459  35
1.842  36

Structural model:
```
PuNp4S6
1.0
5.560 3.210 4.447
-5.560 3.210 4.447
0.000 -6.420 4.447
Pu Np S
2 8 12
Direct
0.000 0.000 0.000 Pu
0.500 0.500 0.500 Pu
0.132 0.750 0.368 Np
0.250 0.250 0.250 Np
0.250 0.632 0.868 Np
0.368 0.132 0.750 Np
0.632 0.868 0.250 Np
0.750 0.368 0.132 Np
0.750 0.750 0.750 Np
0.868 0.250 0.632 Np
0.063 0.912 0.677 S
0.088 0.323 0.937 S
0.177 0.412 0.563 S
0.323 0.937 0.088 S
0.412 0.563 0.177 S
0.437 0.823 0.588 S
0.563 0.177 0.412 S
0.588 0.437 0.823 S
0.677 0.063 0.912 S
0.823 0.588 0.437 S
0.912 0.677 0.063 S
0.937 0.088 0.323 S
```



Record 12
Starting from a cell relaxed with PBE, the powder XRD pattern of Pu2NpS6 was simulated for CuKα.
Kinematic intensities with the Lorentz-polarization factor, no thermal factor.

Largest 6 diffraction maxima, by angle, 10 to 80 degrees two-theta:
d_spacing  intensity
3.545  100
3.519  87
2.497  61
2.047  38
2.042  54
1.339  34

Structural model:
```
Pu2NpS6
1.0
7.089 0.000 0.000
-3.545 6.140 0.000
0.000 0.000 4.295
Pu Np S
2 1 6
Direct
0.333 0.667 0.264 Pu
0.667 0.333 0.736 Pu
0.000 0.000 0.500 Np
0.082 0.706 0.753 S
0.294 0.375 0.753 S
0.375 0.082 0.247 S
0.625 0.918 0.753 S
0.706 0.625 0.247 S
0.918 0.294 0.247 S
```